Structure and calculated XRD peak list of RuPt2W (a DFT-relaxed cell (PBE, Alexandria); Cu Kα (λ = 1.5418 Å)).
No peak broadening, texture or thermal motion is included.

Crystal structure
```
data_RuPt2W
_symmetry_space_group_name_H-M 'F m m m'
_symmetry_Int_Tables_number 69
_symmetry_space_group_name_Hall '-F 2 2'
_cell_length_a 5.476
_cell_length_b 5.485
_cell_length_c 8.070
_cell_angle_alpha 90.00
_cell_angle_beta 90.00
_cell_angle_gamma 90.00
loop_
_atom_site_label
_atom_site_type_symbol
_atom_site_fract_x
_atom_site_fract_y
_atom_site_fract_z
Ru1 Ru 0.000 0.000 0.000
Pt1 Pt 0.250 0.250 0.250
W1 W 0.000 0.000 0.500
```

Most intense lines, 15 to 90 degrees two-theta, by intensity:
h k l, 2theta, I (rel.)
2 0 2, 39.8, 100
2 2 0, 46.9, 31
4 2 2, 82.2, 25
2 2 4, 67.0, 22
0 0 4, 44.9, 18
2 0 6, 79.4, 14
0 4 4, 85.6, 6
4 0 4, 85.8, 6

Structure and calculated XRD peak list of RhOF2 (a DFT-relaxed cell (PBE, Alexandria); Cu Kα (λ = 1.5418 Å)).
No peak broadening, texture or thermal motion is included.

Crystal structure
```
data_RhOF2
_symmetry_space_group_name_H-M 'P m m n'
_symmetry_Int_Tables_number 59
_cell_length_a 3.691
_cell_length_b 8.913
_cell_length_c 3.308
_cell_angle_alpha 90.00
_cell_angle_beta 90.00
_cell_angle_gamma 90.00
loop_
_symmetry_equiv_pos_as_xyz
'x,y,z'
'-x,-y,-z'
'-x+1/2,-y+1/2,z'
'x+1/2,y+1/2,-z'
'x+1/2,-y,-z'
'-x+1/2,y,z'
'-x,y+1/2,-z'
'x,-y+1/2,z'
loop_
_atom_site_label
_atom_site_type_symbol
_atom_site_fract_x
_atom_site_fract_y
_atom_site_fract_z
Rh1 Rh 0.250 0.250 0.249
O1 O 0.250 0.750 0.734
F1 F 0.250 0.110 0.753
```

Most intense lines, 15 to 90 degrees two-theta, by intensity:
h k l, 2theta, I (rel.)
0 2 0, 19.9, 100
1 1 0, 26.1, 99
0 1 1, 28.8, 56
0 3 1, 40.8, 55
1 2 1, 41.9, 40
0 0 2, 55.6, 38
2 3 1, 65.9, 23
1 1 2, 62.4, 16

Structure and calculated XRD peak list of Nb5Ni2H4 (a DFT-relaxed cell (PBE, Alexandria); Cu Kα (λ = 1.5418 Å)).
No peak broadening, texture or thermal motion is included.

Crystal structure
```
data_Nb5Ni2H4
_symmetry_space_group_name_H-M 'C 1 2/m 1'
_symmetry_Int_Tables_number 12
_cell_length_a 16.803
_cell_length_b 2.774
_cell_length_c 5.586
_cell_angle_alpha 90.00
_cell_angle_beta 93.47
_cell_angle_gamma 90.00
loop_
_symmetry_equiv_pos_as_xyz
'x,y,z'
'-x,-y,-z'
'-x,y,-z'
'x,-y,z'
'x+1/2,y+1/2,z'
'-x+1/2,-y+1/2,-z'
'-x+1/2,y+1/2,-z'
'x+1/2,-y+1/2,z'
loop_
_atom_site_label
_atom_site_type_symbol
_atom_site_fract_x
_atom_site_fract_y
_atom_site_fract_z
Nb1 Nb 0.000 0.000 0.000
Nb2 Nb 0.175 0.500 0.362
Nb3 Nb 0.181 0.500 0.862
Ni1 Ni 0.053 0.500 0.633
H1 H 0.042 0.500 0.276
H2 H 0.127 0.000 0.097
```

Most intense lines, 15 to 90 degrees two-theta, by intensity:
h k l, 2theta, I (rel.)
4 0 -2, 37.6, 100
3 1 0, 36.1, 98
6 0 0, 32.0, 66
1 1 -2, 46.3, 59
5 1 2, 55.1, 47
2 0 2, 34.5, 40
9 1 0, 59.8, 39
4 0 2, 39.9, 36

Structure and calculated XRD peak list of HoTcGe2Ir (a DFT-relaxed cell (PBE, Alexandria); Cu Kα (λ = 1.5418 Å)).
No peak broadening, texture or thermal motion is included.

Crystal structure
```
data_HoTcGe2Ir
_symmetry_space_group_name_H-M 'I -4 m 2'
_symmetry_Int_Tables_number 119
_symmetry_space_group_name_Hall 'I -4 -2'
_cell_length_a 4.279
_cell_length_b 4.279
_cell_length_c 9.915
_cell_angle_alpha 90.00
_cell_angle_beta 90.00
_cell_angle_gamma 90.00
loop_
_atom_site_label
_atom_site_type_symbol
_atom_site_fract_x
_atom_site_fract_y
_atom_site_fract_z
Ho1 Ho 0.000 0.000 0.000
Tc1 Tc 0.000 0.500 0.750
Ge1 Ge 0.000 0.000 0.373
Ir1 Ir 0.000 0.500 0.250
```

Most intense lines, 15 to 90 degrees two-theta, by intensity:
h k l, 2theta, I (rel.)
1 1 2, 34.7, 100
2 0 0, 42.2, 53
1 0 3, 34.3, 43
3 1 2, 72.4, 24
2 1 3, 55.5, 22
1 1 6, 64.2, 18
2 2 0, 61.3, 17
1 1 4, 47.4, 16

Structure and calculated XRD peak list of ErRuS (a DFT-relaxed cell (PBE, Alexandria); Cu Kα (λ = 1.5418 Å)).
No peak broadening, texture or thermal motion is included.

Crystal structure
```
data_ErRuS
_symmetry_space_group_name_H-M 'A m m 2'
_symmetry_Int_Tables_number 38
_cell_length_a 10.866
_cell_length_b 3.460
_cell_length_c 5.999
_cell_angle_alpha 90.00
_cell_angle_beta 90.00
_cell_angle_gamma 90.00
loop_
_symmetry_equiv_pos_as_xyz
'x,y,z'
'-x,-y,z'
'-x,y,z'
'x,-y,z'
'x,y+1/2,z+1/2'
'-x,-y+1/2,z+1/2'
'-x,y+1/2,z+1/2'
'x,-y+1/2,z+1/2'
loop_
_atom_site_label
_atom_site_type_symbol
_atom_site_fract_x
_atom_site_fract_y
_atom_site_fract_z
Er1 Er 0.176 0.000 0.000
Ru1 Ru 0.374 0.000 0.332
S1 S 0.000 0.000 0.667
S2 S 0.500 0.000 0.665
```

Most intense lines, 15 to 90 degrees two-theta, by intensity:
h k l, 2theta, I (rel.)
3 0 2, 39.0, 100
1 0 2, 30.9, 69
2 1 1, 34.2, 46
0 2 0, 52.9, 42
0 1 1, 29.8, 30
4 1 1, 45.0, 21
3 2 2, 67.6, 20
5 2 0, 69.4, 15